1.
Structure and calculated powder diffractogram of KNaH4Rh (a cell relaxed with PBE; CuKα).
Intensities are scaled so that the largest is 100.

Structure:
```
data_KNaH4Rh
_cell_length_a 5.233
_cell_length_b 12.646
_cell_length_c 5.221
_cell_angle_alpha 90.00
_cell_angle_beta 90.00
_cell_angle_gamma 90.00
_symmetry_space_group_name_H-M 'C m c m'
_symmetry_Int_Tables_number 63
_symmetry_space_group_name_Hall '-C 2c 2'
loop_
_atom_site_label
_atom_site_fract_x
_atom_site_fract_y
_atom_site_fract_z
_atom_site_occupancy
K1 0.000 0.092 0.250 1
Na1 0.000 0.366 0.250 1
H1 0.000 0.118 0.750 1
H2 0.000 0.388 0.750 1
H3 0.250 0.250 0.000 1
Rh1 0.000 0.252 0.750 1
```

Main lines, sorted by position (2θ from 10° to 90°):
Position (°2θ)	I (rel.)	(hkl)
14.01	69	0 2 0
25.10	34	1 1 1
32.21	100	1 3 1
34.31	49	2 0 0
37.23	22	2 2 0
43.35	24	1 5 1
49.31	18	2 0 2
56.06	18	2 6 0
60.08	16	3 3 1
60.18	15	1 3 3

=====

2.
Structure and calculated powder diffractogram of KNaSiH6 (a cell relaxed with PBE; CuKα).
Intensities are scaled so that the largest is 100.

Structure:
```
data_KNaSiH6
_cell_length_a 5.2321
_cell_length_b 5.2321
_cell_length_c 5.0808
_cell_angle_alpha 90.00
_cell_angle_beta 90.00
_cell_angle_gamma 120.00
_symmetry_space_group_name_H-M 'P 3 1 2'
_symmetry_Int_Tables_number 149
loop_
_symmetry_equiv_pos_as_xyz
'x,y,z'
'-y,x-y,z'
'-x+y,-x,z'
'-y,-x,-z'
'-x+y,y,-z'
'x,x-y,-z'
loop_
_atom_site_label
_atom_site_fract_x
_atom_site_fract_y
_atom_site_fract_z
_atom_site_occupancy
K1 0.0000 0.0000 0.0000 1
Na1 0.3333 0.6667 0.5000 1
Si1 0.6667 0.3333 0.5000 1
H1 0.4195 0.0816 0.6849 1
```

Main lines, sorted by position (2θ from 10° to 90°):
Position (°2θ)	I (rel.)	(hkl)
26.36	100	1 0 1
34.28	42	1 1 0
35.33	12	0 0 2
43.75	22	2 0 1
50.05	29	2 -1 2
56.72	19	3 -1 1
58.15	8	1 0 3
61.38	7	3 0 0
72.86	8	3 0 2
78.39	7	3 1 1

=====

3.
Structure and calculated powder diffractogram of KNaVH6 (a cell relaxed with PBE; CuKα).
Intensities are scaled so that the largest is 100.

Structure:
```
data_KNaVH6
_cell_length_a 5.4076
_cell_length_b 5.4076
_cell_length_c 10.1813
_cell_angle_alpha 90.00
_cell_angle_beta 90.00
_cell_angle_gamma 120.00
_symmetry_space_group_name_H-M 'P 63/m m c'
_symmetry_Int_Tables_number 194
_symmetry_space_group_name_Hall '-P 6c 2c'
loop_
_atom_site_label
_atom_site_fract_x
_atom_site_fract_y
_atom_site_fract_z
_atom_site_occupancy
K1 0.0000 0.0000 0.0000 1
Na1 0.3333 0.6667 0.2500 1
V1 0.3333 0.6667 0.7500 1
H1 0.0609 0.5304 0.6382 1
```

Main lines, sorted by position (2θ from 10° to 90°):
Position (°2θ)	I (rel.)	(hkl)
17.42	9	0 0 2
20.88	17	1 0 1
25.85	100	1 0 2
33.13	52	1 1 0
35.26	13	0 0 4
42.49	23	2 0 2
49.16	33	1 1 4
54.92	20	2 1 2
59.19	8	3 0 0
70.81	10	3 0 4

=====

4.
Structure and calculated powder diffractogram of KNa3Zn4H12 (a cell relaxed with PBE; CuKα).
Intensities are scaled so that the largest is 100.

Structure:
```
data_KNa3Zn4H12
_cell_length_a 11.0627
_cell_length_b 11.0627
_cell_length_c 8.0553
_cell_angle_alpha 90.00
_cell_angle_beta 90.00
_cell_angle_gamma 120.00
_symmetry_space_group_name_H-M 'R 3 2'
_symmetry_Int_Tables_number 155
_symmetry_space_group_name_Hall 'R 3 2"'
loop_
_atom_site_label
_atom_site_fract_x
_atom_site_fract_y
_atom_site_fract_z
_atom_site_occupancy
K1 0.0000 0.0000 0.0000 1
Na1 0.0000 0.5554 0.0000 1
Zn1 0.0000 0.0000 0.5000 1
Zn2 0.0000 0.4351 0.5000 1
H1 0.0000 0.5808 0.5000 1
H2 0.0000 0.8548 0.5000 1
H3 0.0420 0.2282 0.1632 1
```

Main lines, sorted by position (2θ from 10° to 90°):
Position (°2θ)	I (rel.)	(hkl)
16.02	20	1 1 0
21.58	33	0 2 1
27.00	30	2 1 1
28.96	100	2 0 2
32.37	37	2 2 0
35.58	44	1 3 1
37.22	17	1 1 3
47.12	17	2 3 2
49.07	22	0 2 4
60.33	17	5 2 0